Starting from a crystal structure in Alexandria, relaxed with GGA-PBE, the powder diffractogram of Ho4Tm19Sc6 was calculated for Cu Kα.

Most intense lines, 2θ = 10–90°, sorted by position:
2θ 30.64, I 39.2, (3 0 -1); 2θ 31.39, I 33.0, (2 -3 1); 2θ 31.99, I 64.1, (2 -3 0); 2θ 32.45, I 100.0, (0 1 3); 2θ 32.54, I 84.4, (1 2 -4); 2θ 32.67, I 55.8, (3 0 0); 2θ 34.67, I 56.9, (2 -2 3); 2θ 34.86, I 79.0, (1 3 -1); 2θ 35.52, I 48.8, (-3 1 3); 2θ 61.91, I 25.1, (1 -4 7)

Cell lengths 9.0822, 9.4138, 11.6970 Å; angles 110.46, 103.46, 104.56 degrees
Space group P1 (No. 1)
Symmetry-distinct sites (fractional):
Ho 0.0000 0.0000 0.0000 x1
Ho 0.0327 0.3918 0.2242 x1
Ho 0.3617 0.5961 0.1573 x1
Ho 0.4076 0.3434 0.5677 x1
Tm 0.0183 0.7022 0.1163 x1
Tm 0.0402 0.0730 0.3230 x1
Tm 0.0610 0.7741 0.4435 x1
Tm 0.0679 0.4464 0.5392 x1
Tm 0.0891 0.1428 0.6362 x1
Tm 0.3134 0.5290 0.8426 x1
Tm 0.3283 0.2081 0.9340 x1
Tm 0.3478 0.9009 0.0490 x1
Tm 0.3693 0.2840 0.2558 x1
Tm 0.3883 0.9756 0.3662 x1
Tm 0.4053 0.6775 0.4849 x1
Tm 0.6205 0.7167 0.7857 x1
Tm 0.6589 0.4307 0.8762 x1
Tm 0.6601 0.1026 0.9622 x1
Tm 0.6954 0.4943 0.1900 x1
Tm 0.7084 0.1845 0.2948 x1
Tm 0.7393 0.5680 0.5146 x1
Tm 0.7855 0.9584 0.6943 x1
Tm 0.9956 0.3344 0.9086 x1
Sc 0.2739 0.8201 0.7421 x1
Sc 0.4475 0.0642 0.6688 x1
Sc 0.6803 0.8014 0.0902 x1
Sc 0.7223 0.8796 0.3920 x1
Sc 0.7518 0.2514 0.6070 x1
Sc 0.9760 0.6280 0.8042 x1



Starting from a crystal structure in Alexandria, relaxed with GGA-PBE, the powder diffractogram of CaBeZnHS was calculated for Cu Kα.

Most intense lines, 2θ = 10–90°, sorted by position:
2θ 23.95, I 29.6, (2 0 -1); 2θ 24.64, I 100.0, (1 1 0); 2θ 34.46, I 47.1, (2 0 1); 2θ 34.78, I 28.8, (4 0 -1); 2θ 35.19, I 48.1, (4 0 0); 2θ 36.73, I 84.4, (1 1 1); 2θ 36.93, I 90.3, (3 1 -1); 2θ 45.31, I 28.2, (2 0 -2); 2θ 47.04, I 28.0, (0 2 0); 2θ 50.61, I 29.8, (5 1 0)

Cell lengths 10.9224, 3.8633, 4.0030 Å; angles 90.00, 110.99, 90.00 degrees
Space group Cm (No. 8)
Symmetry-distinct sites (fractional):
Ca 0.0000 0.0000 0.0000 x2
Be 0.3775 0.0000 0.3151 x2
Zn 0.2528 0.5000 0.3004 x2
H 0.3780 0.0000 0.9558 x2
S 0.0828 0.5000 0.6050 x2



Starting from a crystal structure in Alexandria, relaxed with GGA-PBE, the powder diffractogram of Rb4Ca3H10 was calculated for Cu Kα.

Most intense lines, 2θ = 10–90°, sorted by position:
2θ 19.93, I 11.6, (1 0 1); 2θ 27.53, I 100.0, (1 0 7); 2θ 28.05, I 53.4, (1 1 0); 2θ 35.77, I 8.9, (1 1 8); 2θ 40.09, I 21.1, (2 0 0); 2θ 48.35, I 14.9, (1 1 14); 2θ 49.32, I 38.0, (2 1 7); 2θ 56.83, I 9.5, (2 0 14); 2θ 65.64, I 8.8, (3 1 0); 2θ 79.53, I 9.1, (3 2 7)

Cell lengths 4.4980, 4.4980, 32.7007 Å; angles 90.00, 90.00, 90.00 degrees
Space group I4/mmm (No. 139)
Symmetry-distinct sites (fractional):
Rb 0.0000 0.0000 0.0681 x4
Rb 0.0000 0.0000 0.2035 x4
Ca 0.0000 0.0000 0.3620 x4
Ca 0.0000 0.0000 0.5000 x2
H 0.0000 0.0000 0.2914 x4
H 0.0000 0.0000 0.4308 x4
H 0.0000 0.5000 0.0000 x4
H 0.0000 0.5000 0.1389 x8



Starting from a crystal structure in Alexandria, relaxed with GGA-PBE, the powder diffractogram of La4SbPI2 was calculated for Cu Kα.

Most intense lines, 2θ = 10–90°, sorted by position:
2θ 27.53, I 48.5, (2 0 -2); 2θ 27.72, I 100.0, (1 1 1); 2θ 30.19, I 12.5, (1 1 -2); 2θ 38.51, I 15.3, (2 0 2); 2θ 38.97, I 30.5, (1 1 -3); 2θ 39.97, I 35.4, (3 1 -1); 2θ 40.69, I 19.5, (0 2 0); 2θ 49.83, I 19.2, (2 2 -2); 2θ 56.86, I 9.7, (4 0 -4); 2θ 57.26, I 9.5, (2 2 2)

Cell lengths 7.8602, 4.4351, 8.1275 Å; angles 90.00, 108.38, 90.00 degrees
Space group P2/m (No. 10)
Symmetry-distinct sites (fractional):
La 0.2097 0.0000 0.1994 x2
La 0.2339 0.5000 0.7905 x2
Sb 0.5000 0.0000 0.0000 x1
P 0.0000 0.5000 0.0000 x1
I 0.0000 0.0000 0.5000 x1
I 0.5000 0.5000 0.5000 x1



Starting from a crystal structure in Alexandria, relaxed with GGA-PBE, the powder diffractogram of BaAlAu was calculated for Cu Kα.

Most intense lines, 2θ = 10–90°, sorted by position:
2θ 14.68, I 19.1, (0 0 2); 2θ 25.44, I 70.5, (1 0 1); 2θ 29.61, I 32.5, (0 0 4); 2θ 33.10, I 100.0, (1 0 3); 2θ 34.68, I 60.5, (1 1 0); 2θ 46.23, I 38.4, (1 1 4); 2θ 49.86, I 21.7, (2 0 0); 2θ 59.26, I 25.9, (1 0 7); 2θ 61.16, I 34.5, (2 1 3); 2θ 81.03, I 21.7, (2 1 7)

Cell lengths 3.6581, 3.6581, 12.0662 Å; angles 90.00, 90.00, 90.00 degrees
Space group I4mm (No. 107)
Symmetry-distinct sites (fractional):
Ba 0.0000 0.0000 0.0000 x2
Al 0.0000 0.0000 0.2849 x2
Au 0.0000 0.0000 0.7129 x2



Starting from a crystal structure in Alexandria, relaxed with GGA-PBE, the powder diffractogram of Er8TlGe3Te4 was calculated for Cu Kα.

Most intense lines, 2θ = 10–90°, sorted by position:
2θ 29.60, I 100.0, (0 2 4); 2θ 41.93, I 35.9, (2 0 8); 2θ 42.78, I 37.6, (2 2 0); 2θ 51.43, I 5.7, (0 0 12); 2θ 52.88, I 19.6, (4 0 4); 2θ 61.44, I 11.4, (0 4 8); 2θ 69.05, I 14.0, (2 2 12); 2θ 70.28, I 16.5, (2 4 4); 2θ 77.76, I 11.6, (4 2 8); 2θ 78.33, I 7.2, (6 0 0)

Cell lengths 8.4555, 8.4555, 21.3224 Å; angles 90.00, 90.00, 120.00 degrees
Space group R-3m (No. 166, hexagonal axes)
Symmetry-distinct sites (fractional):
Er 0.0000 0.0000 0.2385 x6
Er 0.0108 0.5054 0.7574 x18
Tl 0.0000 0.0000 0.5000 x3
Ge 0.0000 0.5000 0.5000 x9
Te 0.0000 0.0000 0.0000 x3
Te 0.0000 0.5000 0.0000 x9